[1]
Diffraction record for ErF3. The powder diffraction line list is theoretical, not measured: it uses DFT lattice parameters and positions (PBE) and λ = 1.5418 Å (Cu Kα).

Atomic structure:
```
data_ErF3
_cell_length_a 6.134
_cell_length_b 6.852
_cell_length_c 4.740
_cell_angle_alpha 90.00
_cell_angle_beta 90.00
_cell_angle_gamma 90.00
_space_group_name_H-M_alt 'P n m a'
_space_group_IT_number 62
_space_group_name_Hall '-P 2ac 2n'
loop_
_atom_site_label
_atom_site_type_symbol
_atom_site_fract_x
_atom_site_fract_y
_atom_site_fract_z
Er1 Er 0.135 0.250 0.039
F1 F 0.035 0.750 0.369
F2 F 0.161 0.564 0.849
```

Main lines, sorted by position (2θ = 15–90°):
d 3.750, 23.72°, I 57.1
d 3.426, 26.01°, I 51.2
d 3.290, 27.10°, I 100.0
d 2.799, 31.97°, I 48.7
d 2.529, 35.49°, I 26.3
d 1.950, 46.57°, I 54.3
d 1.832, 49.78°, I 24.7
d 1.809, 50.44°, I 43.3

[2]
Diffraction record for SbSeCl9. The powder diffraction line list is theoretical, not measured: it uses DFT lattice parameters and positions (PBE) and λ = 1.5418 Å (Cu Kα).

Atomic structure:
```
data_SbSeCl9
_cell_length_a 9.735
_cell_length_b 11.659
_cell_length_c 13.547
_cell_angle_alpha 90.00
_cell_angle_beta 103.55
_cell_angle_gamma 90.00
_space_group_name_H-M_alt 'P 1 21/m 1'
_space_group_IT_number 11
_space_group_name_Hall '-P 2yb'
loop_
_atom_site_label
_atom_site_type_symbol
_atom_site_fract_x
_atom_site_fract_y
_atom_site_fract_z
Sb1 Sb 0.021 0.250 0.378
Sb2 Sb 0.334 0.750 0.171
Se1 Se 0.053 0.250 0.881
Se2 Se 0.365 0.750 0.678
Cl1 Cl 0.135 0.750 0.502
Cl2 Cl 0.145 0.606 0.718
Cl3 Cl 0.146 0.250 0.247
Cl4 Cl 0.159 0.102 0.471
Cl5 Cl 0.160 0.250 0.756
Cl6 Cl 0.161 0.750 0.005
Cl7 Cl 0.167 0.107 0.969
Cl8 Cl 0.180 0.606 0.224
Cl9 Cl 0.461 0.602 0.112
Cl10 Cl 0.476 0.607 0.625
Cl11 Cl 0.481 0.750 0.839
Cl12 Cl 0.485 0.750 0.336
```

Main lines, sorted by position (2θ = 15–90°):
d 5.829, 15.20°, I 65.1
d 5.734, 15.45°, I 100.0
d 5.418, 16.36°, I 24.1
d 4.385, 20.25°, I 25.1
d 3.042, 29.36°, I 28.1
d 2.902, 30.81°, I 33.6
d 2.446, 36.74°, I 21.6
d 1.952, 46.52°, I 19.0

[3]
Diffraction record for InNi. The powder diffraction line list is theoretical, not measured: it uses DFT lattice parameters and positions (PBE) and λ = 1.5418 Å (Cu Kα).

Atomic structure:
```
data_InNi
_cell_length_a 3.147
_cell_length_b 3.147
_cell_length_c 3.147
_cell_angle_alpha 90.00
_cell_angle_beta 90.00
_cell_angle_gamma 90.00
_space_group_name_H-M_alt 'P m -3 m'
_space_group_IT_number 221
_space_group_name_Hall '-P 4 2 3'
loop_
_atom_site_label
_atom_site_type_symbol
_atom_site_fract_x
_atom_site_fract_y
_atom_site_fract_z
In1 In 0.000 0.000 0.000
Ni1 Ni 0.500 0.500 0.500
```

Main lines, sorted by position (2θ = 15–90°):
d 3.147, 28.36°, I 10.5
d 2.225, 40.54°, I 100.0
d 1.817, 50.21°, I 2.9
d 1.574, 58.67°, I 16.0
d 1.407, 66.42°, I 3.9
d 1.285, 73.74°, I 31.6
d 1.113, 87.71°, I 10.1

[4]
Diffraction record for Sm2TmS4. The powder diffraction line list is theoretical, not measured: it uses DFT lattice parameters and positions (PBE) and λ = 1.5418 Å (Cu Kα).

Atomic structure:
```
data_Sm2TmS4
_cell_length_a 8.350
_cell_length_b 8.350
_cell_length_c 8.539
_cell_angle_alpha 90.00
_cell_angle_beta 90.00
_cell_angle_gamma 90.00
_space_group_name_H-M_alt 'I -4 2 d'
_space_group_IT_number 122
_space_group_name_Hall 'I -4 2bw'
loop_
_atom_site_label
_atom_site_type_symbol
_atom_site_fract_x
_atom_site_fract_y
_atom_site_fract_z
Sm1 Sm 0.117 0.250 0.125
Tm1 Tm 0.000 0.000 0.500
S1 S 0.072 0.185 0.800
```

Main lines, sorted by position (2θ = 15–90°):
d 3.460, 25.75°, I 46.4
d 3.421, 26.04°, I 100.0
d 2.694, 33.25°, I 46.4
d 2.643, 33.91°, I 80.4
d 2.264, 39.82°, I 24.7
d 2.246, 40.15°, I 27.9
d 2.235, 40.35°, I 23.3
d 1.796, 50.83°, I 21.9

[5]
Diffraction record for TiS2. The powder diffraction line list is theoretical, not measured: it uses DFT lattice parameters and positions (PBE) and λ = 1.5418 Å (Cu Kα).

Atomic structure:
```
data_TiS2
_cell_length_a 3.152
_cell_length_b 3.152
_cell_length_c 9.559
_cell_angle_alpha 90.00
_cell_angle_beta 90.00
_cell_angle_gamma 90.00
_space_group_name_H-M_alt 'I 4/m m m'
_space_group_IT_number 139
_space_group_name_Hall '-I 4 2'
loop_
_atom_site_label
_atom_site_type_symbol
_atom_site_fract_x
_atom_site_fract_y
_atom_site_fract_z
Ti1 Ti 0.000 0.000 0.000
S1 S 0.000 0.000 0.363
```

Main lines, sorted by position (2θ = 15–90°):
d 4.779, 18.56°, I 26.8
d 2.241, 40.24°, I 100.0
d 2.229, 40.47°, I 59.2
d 2.020, 44.87°, I 9.6
d 1.635, 56.28°, I 17.4
d 1.576, 58.57°, I 17.9
d 1.289, 73.45°, I 29.3
d 1.135, 85.60°, I 9.9

[6]
Diffraction record for K3InBr6. The powder diffraction line list is theoretical, not measured: it uses DFT lattice parameters and positions (PBE) and λ = 1.5418 Å (Cu Kα).

Atomic structure:
```
data_K3InBr6
_cell_length_a 11.642
_cell_length_b 11.642
_cell_length_c 11.642
_cell_angle_alpha 90.00
_cell_angle_beta 90.00
_cell_angle_gamma 90.00
_space_group_name_H-M_alt 'F m -3 m'
_space_group_IT_number 225
_space_group_name_Hall '-F 4 2 3'
loop_
_atom_site_label
_atom_site_type_symbol
_atom_site_fract_x
_atom_site_fract_y
_atom_site_fract_z
K1 K 0.000 0.000 0.000
K2 K 0.250 0.250 0.250
In1 In 0.000 0.000 0.500
Br1 Br 0.000 0.000 0.268
```

Main lines, sorted by position (2θ = 15–90°):
d 5.821, 15.22°, I 63.2
d 3.361, 26.52°, I 62.9
d 2.910, 30.72°, I 100.0
d 2.603, 34.45°, I 29.7
d 2.058, 44.00°, I 68.1
d 1.755, 52.11°, I 23.0
d 1.680, 54.62°, I 22.2
d 1.302, 72.64°, I 25.4